This entry pairs a crystal structure of Tb3Nd2TmS6 with its simulated powder diffractogram. Radiation: Cu Kα (λ = 1.5418 Å). Structure: a crystal structure in Alexandria, relaxed with PBE.
Peak positions follow from Bragg's law for the DFT cell and can differ from measured ones.

Crystal structure
abc: 8.843 8.843 7.971
angles: 102.92 102.92 25.78
Atoms (fractional coordinates):
Tb: 0.000 0.000 0.000
Tb: 0.330 0.330 0.667
Tb: 0.670 0.670 0.333
Nd: 0.332 0.332 0.164
Nd: 0.668 0.668 0.836
Tm: 0.000 0.000 0.500
S: 0.163 0.163 0.091
S: 0.163 0.163 0.573
S: 0.496 0.496 0.742
S: 0.504 0.504 0.258
S: 0.837 0.837 0.427
S: 0.837 0.837 0.909

Most intense lines, 5 to 70 degrees two-theta, low angle first:
27.48°, d = 3.246 Å, rel. 40.4; 27.66°, d = 3.225 Å, rel. 39.6; 31.94°, d = 2.802 Å, rel. 100.0; 45.52°, d = 1.993 Å, rel. 12.2; 45.82°, d = 1.980 Å, rel. 47.8; 46.00°, d = 1.973 Å, rel. 11.9; 54.10°, d = 1.695 Å, rel. 13.3; 54.42°, d = 1.686 Å, rel. 19.5; 57.13°, d = 1.612 Å, rel. 12.3; 66.71°, d = 1.402 Å, rel. 7.7


This entry pairs a crystal structure of Nd4Te2S3 with its simulated powder diffractogram. Radiation: Cu Kα (λ = 1.5418 Å). Structure: a crystal structure in Alexandria, relaxed with PBE.
Peak positions follow from Bragg's law for the DFT cell and can differ from measured ones.

Crystal structure
abc: 8.926 8.926 7.696
angles: 90.00 90.00 128.47
Atoms (fractional coordinates):
Nd: 0.199 0.801 0.962
Nd: 0.216 0.284 0.750
Nd: 0.284 0.216 0.250
Nd: 0.301 0.699 0.462
Nd: 0.699 0.301 0.538
Nd: 0.716 0.784 0.750
Nd: 0.784 0.716 0.250
Nd: 0.801 0.199 0.038
Te: 0.107 0.893 0.576
Te: 0.393 0.607 0.076
Te: 0.607 0.393 0.924
Te: 0.893 0.107 0.424
S: 0.000 0.000 0.000
S: 0.039 0.461 0.750
S: 0.461 0.039 0.250
S: 0.500 0.500 0.500
S: 0.539 0.961 0.750
S: 0.961 0.539 0.250

Most intense lines, 5 to 70 degrees two-theta, low angle first:
25.49°, d = 3.494 Å, rel. 34.1; 25.67°, d = 3.471 Å, rel. 33.2; 28.04°, d = 3.182 Å, rel. 42.8; 30.84°, d = 2.899 Å, rel. 24.2; 32.29°, d = 2.772 Å, rel. 100.0; 32.78°, d = 2.732 Å, rel. 95.9; 36.78°, d = 2.444 Å, rel. 28.5; 46.58°, d = 1.950 Å, rel. 32.0; 46.83°, d = 1.940 Å, rel. 24.0; 62.58°, d = 1.484 Å, rel. 22.3


This entry pairs a crystal structure of Nd5Te4S with its simulated powder diffractogram. Radiation: Cu Kα (λ = 1.5418 Å). Structure: a crystal structure in Alexandria, relaxed with PBE.
Peak positions follow from Bragg's law for the DFT cell and can differ from measured ones.

Crystal structure
abc: 16.374 16.374 16.374
angles: 164.68 164.68 21.74
Atoms (fractional coordinates):
Nd: 0.000 0.000 0.000
Nd: 0.210 0.210 0.000
Nd: 0.415 0.415 0.000
Nd: 0.585 0.585 0.000
Nd: 0.790 0.790 0.000
Te: 0.102 0.102 0.000
Te: 0.310 0.310 0.000
Te: 0.690 0.690 0.000
Te: 0.898 0.898 0.000
S: 0.500 0.500 0.000

Most intense lines, 5 to 70 degrees two-theta, low angle first:
27.74°, d = 3.216 Å, rel. 37.5; 28.92°, d = 3.087 Å, rel. 100.0; 32.37°, d = 2.765 Å, rel. 32.4; 40.50°, d = 2.227 Å, rel. 53.9; 41.36°, d = 2.183 Å, rel. 37.8; 50.53°, d = 1.806 Å, rel. 28.3; 53.48°, d = 1.713 Å, rel. 15.7; 58.48°, d = 1.578 Å, rel. 18.6; 59.92°, d = 1.544 Å, rel. 12.6; 67.89°, d = 1.381 Å, rel. 17.2


This entry pairs a crystal structure of Nd7Te4S4 with its simulated powder diffractogram. Radiation: Cu Kα (λ = 1.5418 Å). Structure: a crystal structure in Alexandria, relaxed with PBE.
Peak positions follow from Bragg's law for the DFT cell and can differ from measured ones.

Crystal structure
abc: 11.331 11.331 11.331
angles: 95.73 95.73 143.15
Atoms (fractional coordinates):
Nd: 0.000 0.286 0.286
Nd: 0.000 0.714 0.714
Nd: 0.117 0.500 0.617
Nd: 0.249 0.249 0.000
Nd: 0.286 0.000 0.286
Nd: 0.287 0.287 0.575
Nd: 0.287 0.713 0.000
Nd: 0.500 0.117 0.617
Nd: 0.500 0.883 0.383
Nd: 0.713 0.287 0.000
Nd: 0.713 0.713 0.425
Nd: 0.714 0.000 0.714
Nd: 0.751 0.751 0.000
Nd: 0.883 0.500 0.383
Te: 0.131 0.131 0.262
Te: 0.131 0.869 0.000
Te: 0.322 0.500 0.822
Te: 0.500 0.322 0.822
Te: 0.500 0.678 0.178
Te: 0.678 0.500 0.178
Te: 0.869 0.131 0.000
Te: 0.869 0.869 0.738
S: 0.102 0.602 0.205
S: 0.102 0.898 0.500
S: 0.398 0.602 0.500
S: 0.398 0.898 0.795
S: 0.602 0.102 0.205
S: 0.602 0.398 0.500
S: 0.898 0.102 0.500
S: 0.898 0.398 0.795

Most intense lines, 5 to 70 degrees two-theta, low angle first:
24.86°, d = 3.582 Å, rel. 41.2; 31.14°, d = 2.872 Å, rel. 22.6; 31.98°, d = 2.799 Å, rel. 100.0; 35.43°, d = 2.534 Å, rel. 16.4; 36.44°, d = 2.466 Å, rel. 27.6; 43.54°, d = 2.078 Å, rel. 8.8; 48.47°, d = 1.878 Å, rel. 37.9; 51.00°, d = 1.791 Å, rel. 11.1; 60.94°, d = 1.520 Å, rel. 7.7; 63.62°, d = 1.463 Å, rel. 10.4


This entry pairs a crystal structure of Nd3TeS2 with its simulated powder diffractogram. Radiation: Cu Kα (λ = 1.5418 Å). Structure: a crystal structure in Alexandria, relaxed with PBE.
Peak positions follow from Bragg's law for the DFT cell and can differ from measured ones.

Crystal structure
abc: 7.431 7.431 10.776
angles: 90.00 90.00 145.97
Atoms (fractional coordinates):
Nd: 0.082 0.918 0.750
Nd: 0.356 0.644 0.551
Nd: 0.356 0.644 0.949
Nd: 0.644 0.356 0.051
Nd: 0.644 0.356 0.449
Nd: 0.918 0.082 0.250
Te: 0.250 0.750 0.250
Te: 0.750 0.250 0.750
S: 0.000 0.000 0.000
S: 0.000 0.000 0.500
S: 0.471 0.529 0.750
S: 0.529 0.471 0.250

Most intense lines, 5 to 70 degrees two-theta, low angle first:
27.09°, d = 3.292 Å, rel. 45.9; 27.84°, d = 3.205 Å, rel. 100.0; 29.08°, d = 3.071 Å, rel. 99.4; 30.13°, d = 2.966 Å, rel. 28.1; 32.52°, d = 2.754 Å, rel. 51.1; 32.95°, d = 2.718 Å, rel. 36.5; 33.26°, d = 2.694 Å, rel. 29.3; 41.52°, d = 2.175 Å, rel. 52.0; 41.65°, d = 2.168 Å, rel. 33.8; 51.08°, d = 1.788 Å, rel. 32.5


This entry pairs a crystal structure of Nd5Th3S8 with its simulated powder diffractogram. Radiation: Cu Kα (λ = 1.5418 Å). Structure: a crystal structure in Alexandria, relaxed with PBE.
Peak positions follow from Bragg's law for the DFT cell and can differ from measured ones.

Crystal structure
abc: 8.138 8.138 8.138
angles: 59.58 59.58 59.58
Atoms (fractional coordinates):
Nd: 0.000 0.000 0.000
Nd: 0.000 0.500 0.500
Nd: 0.500 0.000 0.500
Nd: 0.500 0.500 0.000
Nd: 0.500 0.500 0.500
Th: 0.000 0.000 0.500
Th: 0.000 0.500 0.000
Th: 0.500 0.000 0.000
S: 0.249 0.750 0.750
S: 0.250 0.250 0.250
S: 0.250 0.250 0.751
S: 0.250 0.751 0.250
S: 0.750 0.249 0.750
S: 0.750 0.750 0.249
S: 0.750 0.750 0.750
S: 0.751 0.250 0.250

Most intense lines, 5 to 70 degrees two-theta, low angle first:
26.75°, d = 3.333 Å, rel. 22.1; 26.98°, d = 3.305 Å, rel. 65.0; 31.18°, d = 2.868 Å, rel. 100.0; 44.53°, d = 2.035 Å, rel. 37.1; 44.83°, d = 2.022 Å, rel. 36.4; 52.71°, d = 1.737 Å, rel. 11.1; 52.97°, d = 1.729 Å, rel. 21.9; 53.11°, d = 1.725 Å, rel. 10.9; 55.62°, d = 1.652 Å, rel. 19.2; 65.04°, d = 1.434 Å, rel. 12.0


This entry pairs a crystal structure of Nd4ThS5 with its simulated powder diffractogram. Radiation: Cu Kα (λ = 1.5418 Å). Structure: a crystal structure in Alexandria, relaxed with PBE.
Peak positions follow from Bragg's law for the DFT cell and can differ from measured ones.

Crystal structure
abc: 10.764 10.764 10.764
angles: 158.27 149.03 38.15
Atoms (fractional coordinates):
Nd: 0.100 0.100 0.000
Nd: 0.302 0.302 0.000
Nd: 0.698 0.698 0.000
Nd: 0.900 0.900 0.000
Th: 0.500 0.500 0.000
S: 0.000 0.500 0.500
S: 0.201 0.701 0.500
S: 0.401 0.901 0.500
S: 0.599 0.099 0.500
S: 0.799 0.299 0.500

Most intense lines, 5 to 70 degrees two-theta, low angle first:
8.69°, d = 10.174 Å, rel. 4.2; 16.02°, d = 5.531 Å, rel. 2.2; 26.87°, d = 3.318 Å, rel. 81.3; 31.13°, d = 2.873 Å, rel. 100.0; 44.58°, d = 2.032 Å, rel. 60.8; 44.67°, d = 2.029 Å, rel. 12.1; 52.84°, d = 1.733 Å, rel. 40.7; 55.32°, d = 1.661 Å, rel. 12.7; 55.44°, d = 1.657 Å, rel. 12.7; 64.90°, d = 1.437 Å, rel. 11.8


This entry pairs a crystal structure of Nd2ThS3 with its simulated powder diffractogram. Radiation: Cu Kα (λ = 1.5418 Å). Structure: a crystal structure in Alexandria, relaxed with PBE.
Peak positions follow from Bragg's law for the DFT cell and can differ from measured ones.

Crystal structure
abc: 5.750 12.053 8.180
angles: 90.00 90.01 90.00
Atoms (fractional coordinates):
Nd: 0.249 0.246 0.375
Nd: 0.249 0.254 0.875
Nd: 0.250 0.583 0.873
Nd: 0.250 0.917 0.373
Nd: 0.750 0.083 0.627
Nd: 0.750 0.417 0.127
Nd: 0.751 0.746 0.125
Nd: 0.751 0.754 0.625
Th: 0.250 0.585 0.377
Th: 0.250 0.915 0.877
Th: 0.750 0.085 0.123
Th: 0.750 0.415 0.623
S: 0.250 0.081 0.629
S: 0.250 0.083 0.122
S: 0.250 0.417 0.622
S: 0.250 0.419 0.129
S: 0.251 0.749 0.125
S: 0.251 0.751 0.625
S: 0.749 0.249 0.375
S: 0.749 0.251 0.875
S: 0.750 0.581 0.871
S: 0.750 0.583 0.378
S: 0.750 0.917 0.878
S: 0.750 0.919 0.371

Most intense lines, 5 to 70 degrees two-theta, low angle first:
26.75°, d = 3.333 Å, rel. 43.6; 27.07°, d = 3.293 Å, rel. 42.2; 31.17°, d = 2.869 Å, rel. 100.0; 44.29°, d = 2.045 Å, rel. 12.5; 44.64°, d = 2.030 Å, rel. 48.9; 45.13°, d = 2.009 Å, rel. 11.8; 52.71°, d = 1.737 Å, rel. 21.8; 53.24°, d = 1.721 Å, rel. 14.4; 55.11°, d = 1.666 Å, rel. 13.2; 55.83°, d = 1.647 Å, rel. 12.5


This entry pairs a crystal structure of Nd5ThS7 with its simulated powder diffractogram. Radiation: Cu Kα (λ = 1.5418 Å). Structure: a crystal structure in Alexandria, relaxed with PBE.
Peak positions follow from Bragg's law for the DFT cell and can differ from measured ones.

Crystal structure
abc: 7.030 7.030 23.671
angles: 91.68 91.68 32.95
Atoms (fractional coordinates):
Nd: 0.000 0.000 0.000
Nd: 0.002 0.002 0.500
Nd: 0.273 0.273 0.930
Nd: 0.283 0.283 0.572
Nd: 0.449 0.449 0.353
Nd: 0.456 0.456 0.147
Nd: 0.544 0.544 0.854
Nd: 0.554 0.554 0.648
Nd: 0.720 0.720 0.429
Nd: 0.727 0.727 0.071
Th: 0.210 0.210 0.240
Th: 0.792 0.792 0.761
S: 0.087 0.087 0.387
S: 0.100 0.100 0.118
S: 0.181 0.181 0.819
S: 0.199 0.199 0.684
S: 0.364 0.364 0.461
S: 0.366 0.366 0.038
S: 0.438 0.438 0.749
S: 0.564 0.564 0.251
S: 0.635 0.635 0.962
S: 0.639 0.639 0.539
S: 0.804 0.804 0.317
S: 0.820 0.820 0.181
S: 0.900 0.900 0.882
S: 0.917 0.917 0.613

Most intense lines, 5 to 70 degrees two-theta, low angle first:
25.82°, d = 3.451 Å, rel. 100.0; 25.99°, d = 3.429 Å, rel. 30.8; 26.45°, d = 3.369 Å, rel. 28.8; 26.55°, d = 3.357 Å, rel. 63.5; 27.89°, d = 3.199 Å, rel. 32.7; 30.77°, d = 2.906 Å, rel. 42.8; 31.08°, d = 2.878 Å, rel. 54.0; 31.87°, d = 2.808 Å, rel. 63.7; 32.31°, d = 2.771 Å, rel. 42.4; 45.50°, d = 1.994 Å, rel. 42.0


This entry pairs a crystal structure of NdTm2ThS4 with its simulated powder diffractogram. Radiation: Cu Kα (λ = 1.5418 Å). Structure: a crystal structure in Alexandria, relaxed with PBE.
Peak positions follow from Bragg's law for the DFT cell and can differ from measured ones.

Crystal structure
abc: 6.766 3.891 6.991
angles: 90.00 108.76 90.00
Atoms (fractional coordinates):
Nd: 0.000 0.000 0.000
Tm: 0.000 0.500 0.500
Tm: 0.500 0.000 0.500
Th: 0.500 0.500 0.000
S: 0.243 0.000 0.729
S: 0.258 0.500 0.272
S: 0.742 0.500 0.728
S: 0.757 0.000 0.271

Most intense lines, 5 to 70 degrees two-theta, low angle first:
26.94°, d = 3.310 Å, rel. 24.1; 27.91°, d = 3.197 Å, rel. 65.5; 32.06°, d = 2.792 Å, rel. 100.0; 45.34°, d = 2.000 Å, rel. 37.4; 46.54°, d = 1.951 Å, rel. 23.5; 46.68°, d = 1.946 Å, rel. 11.7; 53.53°, d = 1.712 Å, rel. 12.1; 54.60°, d = 1.681 Å, rel. 14.8; 57.74°, d = 1.597 Å, rel. 12.3; 67.04°, d = 1.396 Å, rel. 11.6


This entry pairs a crystal structure of Nd7TlS5 with its simulated powder diffractogram. Radiation: Cu Kα (λ = 1.5418 Å). Structure: a crystal structure in Alexandria, relaxed with PBE.
Peak positions follow from Bragg's law for the DFT cell and can differ from measured ones.

Crystal structure
abc: 7.080 7.080 24.595
angles: 90.03 90.03 33.58
Atoms (fractional coordinates):
Nd: 0.019 0.019 0.250
Nd: 0.135 0.135 0.964
Nd: 0.136 0.136 0.536
Nd: 0.324 0.324 0.329
Nd: 0.325 0.325 0.171
Nd: 0.409 0.409 0.892
Nd: 0.410 0.410 0.608
Nd: 0.590 0.590 0.392
Nd: 0.591 0.591 0.108
Nd: 0.675 0.675 0.829
Nd: 0.676 0.676 0.671
Nd: 0.864 0.864 0.464
Nd: 0.865 0.865 0.036
Nd: 0.981 0.981 0.750
Tl: 0.299 0.299 0.750
Tl: 0.701 0.701 0.250
S: 0.043 0.043 0.640
S: 0.044 0.044 0.860
S: 0.226 0.226 0.069
S: 0.227 0.227 0.431
S: 0.500 0.500 0.000
S: 0.500 0.500 0.500
S: 0.773 0.773 0.569
S: 0.774 0.774 0.931
S: 0.956 0.956 0.140
S: 0.957 0.957 0.360

Most intense lines, 5 to 70 degrees two-theta, low angle first:
26.99°, d = 3.303 Å, rel. 37.2; 28.62°, d = 3.119 Å, rel. 93.6; 29.13°, d = 3.066 Å, rel. 27.8; 29.15°, d = 3.064 Å, rel. 23.0; 30.36°, d = 2.944 Å, rel. 100.0; 31.45°, d = 2.844 Å, rel. 64.9; 34.29°, d = 2.615 Å, rel. 21.9; 44.11°, d = 2.053 Å, rel. 43.8; 44.28°, d = 2.045 Å, rel. 32.4; 53.57°, d = 1.711 Å, rel. 37.3


This entry pairs a crystal structure of NdTlS2 with its simulated powder diffractogram. Radiation: Cu Kα (λ = 1.5418 Å). Structure: a crystal structure in Alexandria, relaxed with PBE.
Peak positions follow from Bragg's law for the DFT cell and can differ from measured ones.

Crystal structure
abc: 7.989 7.989 7.989
angles: 30.27 30.27 30.27
Atoms (fractional coordinates):
Nd: 0.000 0.000 0.000
Tl: 0.829 0.829 0.829
S: 0.403 0.403 0.403
S: 0.601 0.601 0.601

Most intense lines, 5 to 70 degrees two-theta, low angle first:
23.35°, d = 3.809 Å, rel. 41.7; 24.95°, d = 3.568 Å, rel. 84.0; 25.87°, d = 3.444 Å, rel. 37.0; 29.25°, d = 3.053 Å, rel. 28.7; 31.57°, d = 2.834 Å, rel. 100.0; 37.12°, d = 2.422 Å, rel. 41.3; 43.39°, d = 2.086 Å, rel. 50.5; 49.85°, d = 1.829 Å, rel. 35.0; 50.69°, d = 1.801 Å, rel. 27.6; 66.48°, d = 1.406 Å, rel. 22.4